Structure and theoretical X-ray powder pattern of ZrAlCr3 (a DFT-relaxed cell (PBE, the Materials Project); Cu Kα, 1.54184 Å).
Kinematic intensities with the Lorentz-polarization factor, no thermal factor.

Main lines, by angle (2θ from 10° to 90°):
15.30 deg, rel. 20
33.95 deg, rel. 57
36.00 deg, rel. 21
36.54 deg, rel. 47
39.83 deg, rel. 15
41.15 deg, rel. 14
41.49 deg, rel. 100
42.54 deg, rel. 42
57.30 deg, rel. 17
60.21 deg, rel. 13
69.16 deg, rel. 21
71.46 deg, rel. 13

Atomic structure:
```
ZrAlCr3
1.0
2.673 -5.790 0.000
2.673 5.790 0.000
0.000 0.000 4.918
Zr Al Cr
2 2 6
direct
0.100 0.900 0.750 Zr
0.900 0.100 0.250 Zr
0.500 0.500 0.000 Al
0.500 0.500 0.500 Al
0.112 0.461 0.750 Cr
0.304 0.696 0.250 Cr
0.461 0.112 0.250 Cr
0.539 0.888 0.750 Cr
0.696 0.304 0.750 Cr
0.888 0.539 0.250 Cr
```